1.
Diffraction record for Ca3La2Nd2. The X-ray diffraction stick pattern is computed, not measured: it uses DFT lattice parameters and positions (GGA-PBE) and a wavelength of 1.5418 Å.
No peak broadening, texture or thermal motion is included.

Peak list (6 most intense, 2θ from 15° to 90°, low angle first)
(hkl)	d [Å]	two_theta	intensity
0 4 1	3.180	28.1	20
1 7 0	3.085	28.9	100
2 0 0	2.919	30.6	68
0 6 1	2.775	32.3	28
2 6 1	2.011	45.1	21
3 7 0	1.715	53.4	18

Atomic structure:
```
data_Ca3La2Nd2
_chemical_formula_sum 'Ca6 La4 Nd4'
_cell_length_a 5.8381
_cell_length_b 25.4306
_cell_length_c 3.6717
_cell_angle_alpha 90.00
_cell_angle_beta 90.00
_cell_angle_gamma 90.00
_space_group_name_H-M_alt 'C m m m'
_space_group_IT_number 65
_space_group_name_Hall '-C 2 2'
loop_
_atom_site_label
_atom_site_type_symbol
_atom_site_fract_x
_atom_site_fract_y
_atom_site_fract_z
Ca1 Ca 0.0000 0.0000 0.0000
Ca2 Ca 0.0000 0.4243 0.5000
La1 La 0.0000 0.2801 0.5000
Nd1 Nd 0.0000 0.1528 0.0000
```



2.
Diffraction record for Ca3La12Nd. The X-ray diffraction stick pattern is computed, not measured: it uses DFT lattice parameters and positions (GGA-PBE) and a wavelength of 1.5418 Å.
No peak broadening, texture or thermal motion is included.

Peak list (6 most intense, 2θ from 15° to 90°, low angle first)
(hkl)	d [Å]	two_theta	intensity
1 1 4	3.065	29.1	100
2 0 0	2.655	33.8	51
2 2 0	1.877	48.5	36
3 1 4	1.601	57.6	43
3 3 4	1.218	78.5	17
4 2 0	1.187	81.0	16

Atomic structure:
```
data_Ca3La12Nd
_chemical_formula_sum 'Ca3 La12 Nd1'
_cell_length_a 5.3110
_cell_length_b 5.3110
_cell_length_c 21.2204
_cell_angle_alpha 90.00
_cell_angle_beta 90.00
_cell_angle_gamma 90.00
_space_group_name_H-M_alt 'P 4/m m m'
_space_group_IT_number 123
_space_group_name_Hall '-P 4 2'
loop_
_atom_site_label
_atom_site_type_symbol
_atom_site_fract_x
_atom_site_fract_y
_atom_site_fract_z
Ca1 Ca 0.0000 0.0000 0.0000
Ca2 Ca 0.0000 0.0000 0.2513
La1 La 0.0000 0.5000 0.1258
La2 La 0.0000 0.5000 0.3789
La3 La 0.5000 0.5000 0.0000
La4 La 0.5000 0.5000 0.2501
La5 La 0.5000 0.5000 0.5000
Nd1 Nd 0.0000 0.0000 0.5000
```